Starting from a GGA-PBE-relaxed structure, the powder X-ray diffraction pattern of Zn3N2 was computed for Cu Kα.
No peak broadening, texture or thermal motion is included.

Atomic structure:
Cell lengths 8.5385, 8.5385, 8.5385 Å; angles 109.47, 109.47, 109.47 degrees
Sites, in units of the cell vectors:
Zn: 0.0219 0.0488 0.2714
Zn: 0.0269 0.4781 0.7495
Zn: 0.0488 0.2714 0.0219
Zn: 0.2226 0.4512 0.4731
Zn: 0.2286 0.2774 0.7505
Zn: 0.2495 0.7714 0.7226
Zn: 0.2505 0.9731 0.5219
Zn: 0.2714 0.0219 0.0488
Zn: 0.2774 0.7505 0.2286
Zn: 0.4512 0.4731 0.2226
Zn: 0.4731 0.2226 0.4512
Zn: 0.4781 0.7495 0.0269
Zn: 0.5219 0.2505 0.9731
Zn: 0.5269 0.7774 0.5488
Zn: 0.5488 0.5269 0.7774
Zn: 0.7226 0.2495 0.7714
Zn: 0.7286 0.9781 0.9512
Zn: 0.7495 0.0269 0.4781
Zn: 0.7505 0.2286 0.2774
Zn: 0.7714 0.7226 0.2495
Zn: 0.7774 0.5488 0.5269
Zn: 0.9512 0.7286 0.9781
Zn: 0.9731 0.5219 0.2505
Zn: 0.9781 0.9512 0.7286
N: 0.0000 0.0000 0.0000
N: 0.0000 0.5000 0.5000
N: 0.0192 0.7692 0.2500
N: 0.2308 0.7500 0.9808
N: 0.2500 0.0192 0.7692
N: 0.2500 0.5192 0.2692
N: 0.2692 0.2500 0.5192
N: 0.4808 0.7308 0.7500
N: 0.5000 0.0000 0.5000
N: 0.5000 0.5000 0.0000
N: 0.5192 0.2692 0.2500
N: 0.7308 0.7500 0.4808
N: 0.7500 0.4808 0.7308
N: 0.7500 0.9808 0.2308
N: 0.7692 0.2500 0.0192
N: 0.9808 0.2308 0.7500

Top 6 peaks for 10° ≤ 2θ ≤ 90°, in order of rising 2θ:
2θ/deg  d/Å  I/Imax
34.02  2.635  100
36.45  2.465  93
43.03  2.102  64
52.50  1.743  82
70.14  1.342  45
76.00  1.252  31